For Nd2Mn3Cu9P7, a structure optimized by DFT (GGA-PBE) gives the calculated PXRD pattern in this record (CuKα).

Principal peaks in the range 10° ≤ 2θ ≤ 90°, by angle:
2θ 25.59, I 9, (1 0 1); 2θ 28.58, I 9, (1 2 0); 2θ 32.50, I 11, (3 0 0); 2θ 37.11, I 100, (1 2 1); 2θ 37.71, I 9, (2 2 0); 2θ 39.31, I 10, (1 3 0); 2θ 46.13, I 14, (1 3 1); 2θ 47.38, I 19, (0 0 2); 2θ 50.62, I 17, (4 1 0); 2θ 53.94, I 10, (2 3 1); 2θ 71.84, I 11, (4 1 2); 2θ 81.27, I 9, (1 2 3)

Structure:
Unit cell a=9.5423 b=9.5423 c=3.8375 alpha=90.00 beta=90.00 gamma=120.00
Space group P-6 (No. 174)
One atom of each set of equivalent atoms:
Nd 0.0000 0.0000 0.0000 x1
Nd 0.3333 0.6667 0.5000 x1
Mn 0.4524 0.2469 0.0000 x3
Cu 0.0456 0.7606 0.5000 x3
Cu 0.0916 0.3751 0.0000 x3
Cu 0.5058 0.0554 0.5000 x3
P 0.0771 0.6267 0.0000 x3
P 0.2567 0.0461 0.5000 x3
P 0.6667 0.3333 0.5000 x1